Entry 1:
Theoretical powder X-ray diffraction pattern
Compound: FeSiPd6
Radiation: Cu Kα, 1.54184 Å
Structure: a PBE-relaxed structure
Lines closer than 0.1° are merged.

Structural model:
a = 4.9757 Å, b = 4.9945 Å, c = 5.0078 Å
α = 95.53°, β = 95.88°, γ = 95.97°
Fractional positions:
Fe 0.0000 0.0000 0.0000
Si 0.5000 0.5000 0.5000
Pd 0.0858 0.2610 0.5520
Pd 0.2617 0.5502 0.0876
Pd 0.4522 0.9128 0.7391
Pd 0.5478 0.0872 0.2609
Pd 0.7383 0.4498 0.9124
Pd 0.9142 0.7390 0.4480

Largest 12 diffraction maxima, low angle first, 2θ from 10° to 90°:
- d 2.575, 34.84°, I = 47
- d 2.319, 38.83°, I = 58
- d 2.310, 38.98°, I = 100
- d 2.123, 42.59°, I = 10
- d 2.110, 42.86°, I = 17
- d 2.060, 43.95°, I = 35
- d 2.054, 44.08°, I = 35
- d 2.047, 44.25°, I = 34
- d 1.517, 61.09°, I = 8
- d 1.510, 61.42°, I = 8
- d 1.400, 66.82°, I = 30
- d 1.197, 80.18°, I = 9


Entry 2:
Theoretical powder X-ray diffraction pattern
Compound: FeSiPd
Radiation: Cu Kα, 1.54184 Å
Structure: a PBE-relaxed structure
Lines closer than 0.1° are merged.

Structural model:
a = 2.7823 Å, b = 3.3785 Å, c = 8.5521 Å
α = 90.00°, β = 90.00°, γ = 90.00°
Fractional positions:
Fe 0.2500 0.2500 0.0872
Fe 0.7500 0.7500 0.9128
Si 0.2500 0.2500 0.8001
Si 0.7500 0.7500 0.1999
Pd 0.2500 0.7500 0.6103
Pd 0.7500 0.2500 0.3897

Largest 12 diffraction maxima, low angle first, 2θ from 10° to 90°:
- d 8.552, 10.34°, I = 20
- d 3.142, 28.40°, I = 42
- d 2.649, 33.84°, I = 47
- d 2.332, 38.61°, I = 70
- d 2.179, 41.44°, I = 82
- d 2.138, 42.27°, I = 21
- d 2.083, 43.44°, I = 100
- d 1.715, 53.41°, I = 17
- d 1.689, 54.31°, I = 24
- d 1.368, 68.60°, I = 24
- d 1.338, 70.37°, I = 18
- d 1.173, 82.22°, I = 21


Entry 3:
Theoretical powder X-ray diffraction pattern
Compound: FeTcPd6
Radiation: Cu Kα, 1.54184 Å
Structure: a PBE-relaxed structure
Lines closer than 0.1° are merged.

Structural model:
a = 4.4907 Å, b = 5.5433 Å, c = 5.5433 Å
α = 59.73°, β = 90.00°, γ = 90.00°
Fractional positions:
Fe 0.0000 0.0000 0.0000
Tc 0.5000 0.1667 0.1667
Pd 0.0000 0.0005 0.4892
Pd 0.0000 0.4892 0.0005
Pd 0.0000 0.4975 0.4975
Pd 0.5000 0.1618 0.6734
Pd 0.5000 0.6662 0.6662
Pd 0.5000 0.6734 0.1618

Largest 12 diffraction maxima, low angle first, 2θ from 10° to 90°:
- d 2.404, 37.42°, I = 14
- d 2.394, 37.57°, I = 22
- d 2.245, 40.16°, I = 39
- d 2.119, 42.67°, I = 46
- d 2.112, 42.81°, I = 100
- d 1.641, 56.05°, I = 9
- d 1.638, 56.16°, I = 13
- d 1.386, 67.60°, I = 16
- d 1.270, 74.77°, I = 27
- d 1.179, 81.65°, I = 19
- d 1.176, 81.94°, I = 9
- d 1.157, 83.61°, I = 12


Entry 4:
Theoretical powder X-ray diffraction pattern
Compound: Th4FePd
Radiation: Cu Kα, 1.54184 Å
Structure: a PBE-relaxed structure
Lines closer than 0.1° are merged.

Structural model:
a = 7.1502 Å, b = 7.1502 Å, c = 5.9708 Å
α = 90.00°, β = 90.00°, γ = 90.00°
Fractional positions:
Th 0.1548 0.3191 0.0000
Th 0.1548 0.6809 0.5000
Th 0.3191 0.1548 0.5000
Th 0.3191 0.8452 0.0000
Th 0.6809 0.1548 0.0000
Th 0.6809 0.8452 0.5000
Th 0.8452 0.3191 0.5000
Th 0.8452 0.6809 0.0000
Fe 0.0000 0.0000 0.2500
Fe 0.0000 0.0000 0.7500
Pd 0.5000 0.5000 0.2500
Pd 0.5000 0.5000 0.7500

Largest 12 diffraction maxima, low angle first, 2θ from 10° to 90°:
- d 3.575, 24.91°, I = 8
- d 2.985, 29.93°, I = 18
- d 2.819, 31.74°, I = 100
- d 2.571, 34.90°, I = 13
- d 2.292, 39.32°, I = 25
- d 2.261, 39.87°, I = 22
- d 1.690, 54.29°, I = 23
- d 1.665, 55.15°, I = 21
- d 1.468, 63.38°, I = 17
- d 1.307, 72.26°, I = 9
- d 1.296, 73.00°, I = 7
- d 1.246, 76.46°, I = 7


Entry 5:
Theoretical powder X-ray diffraction pattern
Compound: TiFePd6
Radiation: Cu Kα, 1.54184 Å
Structure: a PBE-relaxed structure
Lines closer than 0.1° are merged.

Structural model:
a = 3.9126 Å, b = 3.9126 Å, c = 7.8157 Å
α = 90.00°, β = 90.00°, γ = 90.00°
Fractional positions:
Ti 0.0000 0.0000 0.0000
Fe 0.0000 0.0000 0.5000
Pd 0.0000 0.5000 0.2501
Pd 0.0000 0.5000 0.7499
Pd 0.5000 0.0000 0.2501
Pd 0.5000 0.0000 0.7499
Pd 0.5000 0.5000 0.0000
Pd 0.5000 0.5000 0.5000

Largest 11 diffraction maxima, low angle first, 2θ from 10° to 90°:
- d 3.911, 22.74°, I = 7
- d 2.766, 32.37°, I = 6
- d 2.258, 39.93°, I = 100
- d 1.956, 46.44°, I = 48
- d 1.749, 52.30°, I = 3
- d 1.597, 57.74°, I = 2
- d 1.383, 67.77°, I = 30
- d 1.304, 72.50°, I = 1
- d 1.237, 77.12°, I = 1
- d 1.179, 81.65°, I = 35
- d 1.129, 86.13°, I = 10


Entry 6:
Theoretical powder X-ray diffraction pattern
Compound: Ti4FePd
Radiation: Cu Kα, 1.54184 Å
Structure: a PBE-relaxed structure
Lines closer than 0.1° are merged.

Structural model:
a = 4.3113 Å, b = 4.3113 Å, c = 7.0019 Å
α = 107.85°, β = 107.85°, γ = 59.87°
Fractional positions:
Ti 0.1156 0.1156 0.3460
Ti 0.3657 0.3657 0.0966
Ti 0.6343 0.6343 0.9034
Ti 0.8844 0.8844 0.6540
Fe 0.0000 0.0000 0.0000
Pd 0.5000 0.5000 0.5000

Largest 12 diffraction maxima, low angle first, 2θ from 10° to 90°:
- d 3.488, 25.54°, I = 87
- d 3.275, 27.23°, I = 24
- d 2.706, 33.11°, I = 12
- d 2.243, 40.20°, I = 10
- d 2.154, 41.94°, I = 100
- d 2.051, 44.15°, I = 76
- d 1.833, 49.75°, I = 13
- d 1.801, 50.70°, I = 17
- d 1.738, 52.65°, I = 11
- d 1.486, 62.52°, I = 25
- d 1.243, 76.67°, I = 10
- d 1.222, 78.26°, I = 8


Question: What is the formula in the third record?
Answer: FeTcPd6